Computed PXRD pattern
Compound: LiAc2RuO8
Radiation: Cu Kα (weighted mean of Kα1 and Kα2)
Structure: the GGA-PBE geometry in Alexandria
Kinematic intensities with the Lorentz-polarization factor, no thermal factor.

Crystal structure
```
data_LiAc2RuO8
_chemical_formula_sum 'Li1 Ac2 Ru1 O8'
_space_group_name_H-M_alt 'P -1'
_space_group_IT_number 2
_space_group_name_Hall '-P 1'
_cell_length_a 4.492
_cell_length_b 5.307
_cell_length_c 7.364
_cell_angle_alpha 94.82
_cell_angle_beta 91.17
_cell_angle_gamma 96.34
loop_
_atom_site_label
_atom_site_fract_x
_atom_site_fract_y
_atom_site_fract_z
Li1 0.000 0.000 0.000
Ac1 0.277 0.504 0.225
Ru1 0.000 0.000 0.500
O1 0.101 0.023 0.252
O2 0.162 0.340 0.557
O3 0.255 0.638 0.924
O4 0.404 0.907 0.540
```

Principal peaks in the range 2θ from 10° to 80°, by angle:
2θ (°)  I (rel.)  h k l
16.87  742  0 1 0
23.02  394  1 0 -1
23.65  1000  1 0 1
27.94  579  -1 1 1
28.45  640  0 1 -2
29.39  377  1 1 -1
30.92  410  0 1 2
31.11  416  1 1 1
34.13  487  0 2 0
40.47  420  -1 2 1

---

Computed PXRD pattern
Compound: Er3Th2C4
Radiation: Cu Kα (weighted mean of Kα1 and Kα2)
Structure: the GGA-PBE geometry in Alexandria
Kinematic intensities with the Lorentz-polarization factor, no thermal factor.

Crystal structure
```
data_Er3Th2C4
_chemical_formula_sum 'Er6 Th4 C8'
_space_group_name_H-M_alt 'C 1 2/m 1'
_space_group_IT_number 12
_space_group_name_Hall '-C 2y'
_cell_length_a 12.021
_cell_length_b 3.603
_cell_length_c 8.974
_cell_angle_alpha 90.00
_cell_angle_beta 117.87
_cell_angle_gamma 90.00
loop_
_atom_site_label
_atom_site_fract_x
_atom_site_fract_y
_atom_site_fract_z
Er1 0.000 0.000 0.000
Er2 0.211 0.000 0.824
Th1 0.099 0.500 0.381
C1 0.100 0.500 0.897
C2 0.199 0.000 0.309
```

Principal peaks in the range 2θ from 10° to 80°, by angle:
2θ (°)  I (rel.)  h k l
29.89  312  2 0 -3
30.04  1000  4 0 -1
33.94  277  2 0 2
35.19  529  3 1 -2
49.58  167  1 1 -4
49.81  195  5 1 0
50.67  96  0 2 0
59.94  94  2 2 -3
60.04  197  4 2 -1
62.39  96  2 2 2

---

Computed PXRD pattern
Compound: Cu2Bi2RhO6
Radiation: Cu Kα (weighted mean of Kα1 and Kα2)
Structure: the GGA-PBE geometry in Alexandria
Kinematic intensities with the Lorentz-polarization factor, no thermal factor.

Crystal structure
```
data_Cu2Bi2RhO6
_chemical_formula_sum 'Cu6 Bi6 Rh3 O18'
_space_group_name_H-M_alt 'R -3 m'
_space_group_IT_number 166
_space_group_name_Hall '-R 3 2"'
_cell_length_a 5.9030
_cell_length_b 5.9030
_cell_length_c 15.3184
_cell_angle_alpha 90.00
_cell_angle_beta 90.00
_cell_angle_gamma 120.00
loop_
_atom_site_label
_atom_site_fract_x
_atom_site_fract_y
_atom_site_fract_z
Cu1 0.0000 0.0000 0.0857
Bi1 0.0000 0.0000 0.3015
Rh1 0.0000 0.0000 0.5000
O1 0.0397 0.5199 0.2567
```

Principal peaks in the range 2θ from 10° to 80°, by angle:
2θ (°)  I (rel.)  h k l
17.37  179  0 0 3
18.30  155  1 0 1
30.28  1000  1 1 0
34.12  714  0 1 5
35.12  175  1 1 3
46.26  348  2 0 5
53.80  207  3 0 0
56.29  391  1 2 5
62.99  183  2 2 0
73.61  160  3 1 5

---

Computed PXRD pattern
Compound: Pm3Er7
Radiation: Cu Kα (weighted mean of Kα1 and Kα2)
Structure: the GGA-PBE geometry in Alexandria
Kinematic intensities with the Lorentz-polarization factor, no thermal factor.

Crystal structure
```
data_Pm3Er7
_chemical_formula_sum 'Pm3 Er7'
_space_group_name_H-M_alt 'P -1'
_space_group_IT_number 2
_space_group_name_Hall '-P 1'
_cell_length_a 5.014
_cell_length_b 7.107
_cell_length_c 9.387
_cell_angle_alpha 100.92
_cell_angle_beta 105.48
_cell_angle_gamma 90.14
loop_
_atom_site_label
_atom_site_fract_x
_atom_site_fract_y
_atom_site_fract_z
Pm1 0.000 0.000 0.000
Pm2 0.199 0.600 0.398
Er1 0.000 0.500 0.000
Er2 0.200 0.100 0.399
Er3 0.400 0.199 0.800
Er4 0.401 0.700 0.801
```

Principal peaks in the range 2θ from 10° to 80°, by angle:
2θ (°)  I (rel.)  h k l
30.86  1000  1 0 2
35.78  506  0 2 2
51.47  241  0 0 5
51.57  120  2 2 1
61.16  72  1 -4 3
61.26  285  1 4 1
61.34  71  3 0 1
64.18  31  2 -4 0
64.34  92  2 0 4
75.78  38  0 4 4

---

Computed PXRD pattern
Compound: La2AlHgPd6
Radiation: Cu Kα (weighted mean of Kα1 and Kα2)
Structure: the GGA-PBE geometry in Alexandria
Kinematic intensities with the Lorentz-polarization factor, no thermal factor.

Crystal structure
```
data_La2AlHgPd6
_chemical_formula_sum 'La2 Al1 Hg1 Pd6'
_space_group_name_H-M_alt 'P -1'
_space_group_IT_number 2
_space_group_name_Hall '-P 1'
_cell_length_a 5.597
_cell_length_b 6.490
_cell_length_c 6.836
_cell_angle_alpha 74.19
_cell_angle_beta 65.95
_cell_angle_gamma 64.71
loop_
_atom_site_label
_atom_site_fract_x
_atom_site_fract_y
_atom_site_fract_z
La1 0.001 0.251 0.245
Al1 0.500 0.000 0.500
Hg1 0.500 0.500 0.000
Pd1 0.021 0.183 0.782
Pd2 0.316 0.430 0.438
Pd3 0.483 0.819 0.218
```

Principal peaks in the range 2θ from 10° to 80°, by angle:
2θ (°)  I (rel.)  h k l
28.62  849  1 0 2
29.58  736  1 2 0
34.36  690  0 1 -2
35.55  647  2 0 1
37.73  697  2 0 0
37.88  696  2 2 2
39.25  774  2 2 0
39.67  1000  1 1 3
39.87  750  0 2 2
45.19  548  0 2 -2

---

Computed PXRD pattern
Compound: NbTlAg2Br8
Radiation: Cu Kα (weighted mean of Kα1 and Kα2)
Structure: the GGA-PBE geometry in Alexandria
Kinematic intensities with the Lorentz-polarization factor, no thermal factor.

Crystal structure
```
data_NbTlAg2Br8
_chemical_formula_sum 'Nb1 Tl1 Ag2 Br8'
_space_group_name_H-M_alt 'P -1'
_space_group_IT_number 2
_space_group_name_Hall '-P 1'
_cell_length_a 6.796
_cell_length_b 7.670
_cell_length_c 9.216
_cell_angle_alpha 66.00
_cell_angle_beta 89.88
_cell_angle_gamma 81.74
loop_
_atom_site_label
_atom_site_fract_x
_atom_site_fract_y
_atom_site_fract_z
Nb1 0.000 0.000 0.000
Tl1 0.000 0.000 0.500
Ag1 0.476 0.349 0.669
Br1 0.089 0.239 0.725
Br2 0.137 0.197 0.129
Br3 0.342 0.794 0.036
Br4 0.439 0.735 0.579
```

Principal peaks in the range 2θ from 10° to 80°, by angle:
2θ (°)  I (rel.)  h k l
12.80  1000  0 1 0
16.90  801  1 1 0
19.81  780  1 -1 0
25.75  514  0 2 0
26.56  575  2 0 0
27.73  667  1 2 2
29.06  732  0 1 3
30.56  454  1 1 -2
44.02  456  2 3 0
44.64  666  3 1 2